# 1
Calculated PXRD pattern of Rb2CuH4Cl4O2 for CuKα, from a structure optimized by DFT (GGA-PBE).
Kinematic intensities with the Lorentz-polarization factor, no thermal factor.

Crystal structure
```
26
Lattice="7.791 0.000 0.000 0.000 7.791 0.000 0.000 0.000 8.087" Properties=species:S:1:pos:R:3 pbc="T T T"
Rb 0.000 3.895 2.022
Rb 0.000 3.895 6.065
Rb 3.895 0.000 2.022
Rb 3.895 0.000 6.065
Cu 0.000 0.000 0.000
Cu 3.895 3.895 4.044
H 0.570 0.570 2.564
H 0.570 0.570 5.523
H 3.325 4.466 1.480
H 3.325 4.466 6.607
H 4.466 3.325 1.480
H 4.466 3.325 6.607
H 7.221 7.221 2.564
H 7.221 7.221 5.523
Cl 1.605 1.605 0.000
Cl 1.620 1.620 4.044
Cl 2.275 5.516 0.000
Cl 2.291 5.500 4.044
Cl 5.500 2.291 4.044
Cl 5.516 2.275 0.000
Cl 6.170 6.170 4.044
Cl 6.186 6.186 0.000
O 0.000 0.000 1.977
O 0.000 0.000 6.110
O 3.895 3.895 2.067
O 3.895 3.895 6.020
```

The 6 most intense peaks (10 to 90 degrees two-theta), in order of rising 2θ:
2θ 15.8, rel. 37
2θ 22.8, rel. 39
2θ 27.4, rel. 98
2θ 31.9, rel. 99
2θ 32.5, rel. 100
2θ 43.0, rel. 41

***

# 2
Calculated PXRD pattern of SrCuH3ClO3 for CuKα, from a structure optimized by DFT (GGA-PBE).
Kinematic intensities with the Lorentz-polarization factor, no thermal factor.

Crystal structure
```
54
Lattice="16.239 0.000 0.000 0.000 6.591 0.000 0.000 0.000 6.590" Properties=species:S:1:pos:R:3 pbc="T T T"
Sr 0.000 1.075 0.000
Sr 2.803 2.806 2.201
Sr 5.317 3.785 5.496
Sr 8.120 5.516 3.295
Sr 10.922 3.785 5.496
Sr 13.437 2.806 2.201
Cu 0.000 0.157 3.316
Cu 1.612 4.607 5.429
Cu 6.507 1.984 2.134
Cu 8.120 6.434 0.021
Cu 9.732 1.984 2.134
Cu 14.627 4.607 5.429
H 0.000 4.450 0.739
H 2.048 6.535 1.924
H 2.210 0.248 4.475
H 2.531 2.383 5.754
H 3.339 5.210 3.842
H 4.781 1.381 0.547
H 5.589 4.208 2.459
H 5.909 6.343 1.180
H 6.072 0.056 5.219
H 8.120 2.141 4.034
H 10.167 0.056 5.219
H 10.330 6.343 1.180
H 10.650 4.208 2.459
H 11.458 1.381 0.547
H 12.900 5.210 3.842
H 13.709 2.383 5.754
H 14.029 0.248 4.475
H 14.191 6.535 1.924
Cl 0.000 3.689 2.772
Cl 3.928 5.402 1.108
Cl 4.192 1.189 4.403
Cl 8.120 2.901 6.067
Cl 12.048 1.189 4.403
Cl 12.311 5.402 1.108
O 0.000 4.985 6.502
O 1.344 6.464 4.753
O 1.423 0.688 2.056
O 1.876 2.859 6.309
O 3.174 4.338 4.254
O 4.946 2.253 0.959
O 6.244 3.732 3.014
O 6.697 5.903 5.351
O 6.776 0.127 1.458
O 8.120 1.606 3.207
O 9.463 0.127 1.458
O 9.542 5.903 5.351
O 9.995 3.732 3.014
O 11.293 2.253 0.959
O 13.065 4.338 4.254
O 14.363 2.859 6.309
O 14.817 0.688 2.056
O 14.896 6.464 4.753
```

The 6 most intense peaks (10 to 90 degrees two-theta), in order of rising 2θ:
2θ 17.3, rel. 65
2θ 19.0, rel. 57
2θ 29.2, rel. 100
2θ 30.3, rel. 69
2θ 30.7, rel. 61
2θ 30.8, rel. 81

***

# 3
Calculated PXRD pattern of ZnCuH3ClO3 for CuKα, from a structure optimized by DFT (GGA-PBE).
Kinematic intensities with the Lorentz-polarization factor, no thermal factor.

Crystal structure
```
18
Lattice="5.603 0.000 0.000 0.000 6.458 0.000 -0.215 0.000 5.771" Properties=species:S:1:pos:R:3 pbc="T T T"
Zn -0.060 1.615 2.672
Zn 5.448 4.844 3.099
Cu 2.694 0.000 2.885
Cu 2.694 3.229 2.885
H 1.015 3.582 1.070
H 1.015 6.106 1.070
H 2.115 1.615 4.700
H 3.273 4.844 1.071
H 4.373 0.353 4.701
H 4.373 2.876 4.701
Cl 1.418 4.844 5.017
Cl 3.969 1.615 0.754
O 0.929 3.352 2.022
O 0.929 6.336 2.022
O 1.915 1.615 3.739
O 3.473 4.844 2.032
O 4.459 0.123 3.749
O 4.459 3.107 3.749
```

The 6 most intense peaks (10 to 90 degrees two-theta), in order of rising 2θ:
2θ 15.4, rel. 100
2θ 32.0, rel. 24
2θ 35.4, rel. 46
2θ 36.2, rel. 23
2θ 44.7, rel. 13
2θ 57.0, rel. 20

***

# 4
Calculated PXRD pattern of Cu5HgCl12 for CuKα, from a structure optimized by DFT (GGA-PBE).
Kinematic intensities with the Lorentz-polarization factor, no thermal factor.

Crystal structure
```
18
Lattice="5.883 0.000 0.000 2.659 5.952 0.000 2.199 0.963 12.794" Properties=species:S:1:pos:R:3 pbc="T T T"
Cu 0.000 0.000 0.000
Cu 3.960 2.599 6.343
Cu 2.850 1.979 0.001
Cu 7.891 4.935 12.792
Cu 6.780 4.316 6.451
Hg 1.099 0.482 6.397
Cl 2.105 2.869 5.001
Cl 1.047 1.577 1.372
Cl 4.001 1.368 11.424
Cl 5.795 5.903 7.847
Cl 3.890 3.563 1.369
Cl 5.129 4.570 4.918
Cl 5.612 2.345 7.875
Cl 6.851 3.352 11.425
Cl 4.946 1.011 4.946
Cl 6.740 5.547 1.370
Cl 9.694 5.338 11.421
Cl 8.635 4.046 7.792
```

The 6 most intense peaks (10 to 90 degrees two-theta), in order of rising 2θ:
2θ 13.8, rel. 100
2θ 29.6, rel. 15
2θ 30.0, rel. 11
2θ 33.4, rel. 13
2θ 36.2, rel. 11
2θ 38.1, rel. 21

***

# 5
Calculated PXRD pattern of Cu2HgCl for CuKα, from a structure optimized by DFT (GGA-PBE).
Kinematic intensities with the Lorentz-polarization factor, no thermal factor.

Crystal structure
```
4
Lattice="3.291 0.000 0.000 0.000 4.421 0.000 0.000 0.000 5.875" Properties=species:S:1:pos:R:3 pbc="T T T"
Cu 0.000 0.000 0.000
Cu 1.646 0.000 1.886
Hg 0.000 2.210 1.498
Cl 1.646 0.000 4.220
```

The 6 most intense peaks (10 to 90 degrees two-theta), in order of rising 2θ:
2θ 15.1, rel. 100
2θ 25.2, rel. 38
2θ 31.1, rel. 29
2θ 34.0, rel. 32
2θ 37.3, rel. 58
2θ 46.2, rel. 58

***

# 6
Calculated PXRD pattern of Cu3Hg4Cl12 for CuKα, from a structure optimized by DFT (GGA-PBE).
Kinematic intensities with the Lorentz-polarization factor, no thermal factor.

Crystal structure
```
19
Lattice="-4.975 4.975 4.975 4.975 -4.975 4.975 4.975 4.975 -4.975" Properties=species:S:1:pos:R:3 pbc="T T T"
Cu 4.975 0.000 0.000
Cu 0.000 4.975 0.000
Cu 0.000 0.000 4.975
Hg 2.487 2.487 -2.487
Hg 2.487 -2.487 2.487
Hg -2.487 2.487 2.487
Hg 2.487 2.487 2.487
Cl 4.975 -1.695 3.318
Cl 3.280 1.656 0.000
Cl 6.669 1.656 0.000
Cl 3.318 4.975 -1.695
Cl 1.656 0.000 3.280
Cl 0.000 3.280 1.656
Cl 4.975 1.695 3.318
Cl 3.318 4.975 1.695
Cl 1.656 0.000 6.669
Cl -1.695 3.318 4.975
Cl 1.695 3.318 4.975
Cl 0.000 6.669 1.656
```

The 6 most intense peaks (10 to 90 degrees two-theta), in order of rising 2θ:
2θ 17.8, rel. 49
2θ 25.3, rel. 100
2θ 36.1, rel. 26
2θ 40.5, rel. 36
2θ 44.6, rel. 69
2θ 58.7, rel. 25

***

# 7
Calculated PXRD pattern of CuHgCl2 for CuKα, from a structure optimized by DFT (GGA-PBE).
Kinematic intensities with the Lorentz-polarization factor, no thermal factor.

Crystal structure
```
8
Lattice="3.515 0.000 0.000 0.000 7.798 0.000 0.000 0.000 8.845" Properties=species:S:1:pos:R:3 pbc="T T T"
Cu 0.000 0.000 0.000
Cu 1.758 3.899 0.000
Hg 0.000 3.899 6.899
Hg 1.758 0.000 6.899
Cl 0.000 0.000 5.018
Cl 0.000 3.899 1.415
Cl 1.758 0.000 1.415
Cl 1.758 3.899 5.018
```

The 6 most intense peaks (10 to 90 degrees two-theta), in order of rising 2θ:
2θ 10.0, rel. 100
2θ 22.8, rel. 49
2θ 25.0, rel. 27
2θ 34.6, rel. 52
2θ 41.6, rel. 29
2θ 48.2, rel. 20

***

# 8
Calculated PXRD pattern of Rb2CuHgCl5 for CuKα, from a structure optimized by DFT (GGA-PBE).
Kinematic intensities with the Lorentz-polarization factor, no thermal factor.

Crystal structure
```
18
Lattice="2.118 -9.470 0.000 2.118 9.470 0.000 0.000 0.000 13.624" Properties=species:S:1:pos:R:3 pbc="T T T"
Rb 2.118 7.226 6.812
Rb 2.118 7.016 1.654
Rb 2.118 -7.016 8.466
Rb 2.118 -7.226 0.000
Cu 2.118 1.264 2.975
Cu 2.118 -1.264 9.787
Hg 2.118 5.495 11.243
Hg 2.118 -5.495 4.431
Cl 2.118 8.111 10.940
Cl 2.118 3.899 6.257
Cl 2.118 3.645 2.443
Cl 2.118 2.946 11.074
Cl 2.118 0.020 7.950
Cl 2.118 -0.020 1.138
Cl 2.118 -2.946 4.262
Cl 2.118 -3.645 9.255
Cl 2.118 -3.899 13.069
Cl 2.118 -8.111 4.128
```

The 6 most intense peaks (10 to 90 degrees two-theta), in order of rising 2θ:
2θ 11.4, rel. 25
2θ 16.0, rel. 42
2θ 26.2, rel. 30
2θ 29.0, rel. 39
2θ 29.2, rel. 100
2θ 34.4, rel. 36